1.
# AcMgSiPd2
Calculated XRD peak list, Cu Kα X-rays. Input: a crystal structure in Alexandria, relaxed with GGA-PBE.
Kinematic intensities with the Lorentz-polarization factor, no thermal factor.

The 10 most intense peaks (10° ≤ 2θ ≤ 90°), by angle:
index	d [Å]	I_rel
0 0 2	6.085	24
1 0 1	3.690	18
0 0 4	3.043	17
0 1 3	3.001	39
1 1 0	2.925	19
1 0 3	2.801	18
1 1 2	2.636	100
0 2 0	2.231	22
1 0 5	2.061	22
1 2 5	1.514	17

a = 3.8726 Å, b = 4.4615 Å, c = 12.1700 Å
α = 90.00°, β = 90.00°, γ = 90.00°
Space group Imm2 (No. 44)
Symmetry-distinct sites (fractional):
Ac  0.0000  0.0000  0.0000 (multiplicity 2)
Mg  0.0000  0.5000  0.7532 (multiplicity 2)
Si  0.0000  0.0000  0.6216 (multiplicity 2)
Pd  0.0000  0.0000  0.4151 (multiplicity 2)
Pd  0.0000  0.5000  0.2432 (multiplicity 2)

2.
# AcMgZnPd2
Calculated XRD peak list, Cu Kα X-rays. Input: a crystal structure in Alexandria, relaxed with GGA-PBE.
Kinematic intensities with the Lorentz-polarization factor, no thermal factor.

The 10 most intense peaks (10° ≤ 2θ ≤ 90°), by angle:
index	d [Å]	I_rel
0 0 2	6.204	29
1 1 0	2.947	51
1 0 3	2.936	100
1 1 2	2.662	81
1 0 5	2.132	65
2 0 0	2.084	47
2 1 3	1.699	41
2 1 5	1.490	40
3 1 0	1.317	18
3 1 2	1.289	17

a = 4.1674 Å, b = 4.1674 Å, c = 12.4072 Å
α = 90.00°, β = 90.00°, γ = 90.00°
Space group I-4m2 (No. 119)
Symmetry-distinct sites (fractional):
Ac  0.0000  0.0000  0.0000 (multiplicity 2)
Mg  0.0000  0.5000  0.2500 (multiplicity 2)
Zn  0.0000  0.5000  0.7500 (multiplicity 2)
Pd  0.0000  0.0000  0.3867 (multiplicity 4)

3.
# AcMgZnPd
Calculated XRD peak list, Cu Kα X-rays. Input: a crystal structure in Alexandria, relaxed with GGA-PBE.
Kinematic intensities with the Lorentz-polarization factor, no thermal factor.

The 10 most intense peaks (10° ≤ 2θ ≤ 90°), by angle:
index	d [Å]	I_rel
1 1 1	4.175	49
2 2 0	2.557	100
3 1 1	2.180	28
4 0 0	1.808	18
3 3 1	1.659	12
4 2 2	1.476	36
5 1 1	1.392	9
4 4 0	1.278	11
5 3 1	1.222	9
6 2 0	1.143	16

a = 7.2318 Å, b = 7.2318 Å, c = 7.2318 Å
α = 90.00°, β = 90.00°, γ = 90.00°
Space group F-43m (No. 216)
Symmetry-distinct sites (fractional):
Ac  0.0000  0.0000  0.0000 (multiplicity 4)
Mg  0.0000  0.0000  0.5000 (multiplicity 4)
Zn  0.2500  0.2500  0.2500 (multiplicity 4)
Pd  0.2500  0.2500  0.7500 (multiplicity 4)

4.
# Ac3MgZn2Pd9
Calculated XRD peak list, Cu Kα X-rays. Input: a crystal structure in Alexandria, relaxed with GGA-PBE.
Kinematic intensities with the Lorentz-polarization factor, no thermal factor.

The 10 most intense peaks (10° ≤ 2θ ≤ 90°), by angle:
index	d [Å]	I_rel
1 1 0	3.671	21
0 2 1	2.898	100
2 0 2	2.362	86
0 0 3	2.352	19
2 2 0	1.835	40
4 0 1	1.551	15
0 2 4	1.542	23
0 4 2	1.449	18
2 2 3	1.447	24
4 2 2	1.137	17

a = 7.3416 Å, b = 7.3416 Å, c = 7.0550 Å
α = 90.00°, β = 90.00°, γ = 120.00°
Space group P-3m1 (No. 164)
Symmetry-distinct sites (fractional):
Ac  0.0000  0.0000  0.0000 (multiplicity 1)
Ac  0.3333  0.6667  0.6680 (multiplicity 2)
Mg  0.0000  0.0000  0.5000 (multiplicity 1)
Zn  0.3333  0.6667  0.1622 (multiplicity 2)
Pd  0.0000  0.5000  0.0000 (multiplicity 3)
Pd  0.1691  0.3382  0.3342 (multiplicity 6)

5.
# AcMg2ZnPd2
Calculated XRD peak list, Cu Kα X-rays. Input: a crystal structure in Alexandria, relaxed with GGA-PBE.
Kinematic intensities with the Lorentz-polarization factor, no thermal factor.

The 10 most intense peaks (10° ≤ 2θ ≤ 90°), by angle:
index	d [Å]	I_rel
1 0 1	4.671	20
1 1 0	3.650	100
1 0 3	2.985	37
0 0 4	2.744	30
2 0 0	2.581	61
1 1 4	2.193	40
2 1 3	1.952	22
2 0 4	1.880	40
2 2 0	1.825	22
3 1 0	1.632	20

a = 5.1619 Å, b = 5.1619 Å, c = 10.9763 Å
α = 90.00°, β = 90.00°, γ = 90.00°
Space group I4/mmm (No. 139)
Symmetry-distinct sites (fractional):
Ac  0.0000  0.0000  0.0000 (multiplicity 2)
Mg  0.0000  0.5000  0.2500 (multiplicity 4)
Zn  0.0000  0.0000  0.5000 (multiplicity 2)
Pd  0.0000  0.0000  0.2772 (multiplicity 4)

6.
# Ac5Pm2Mg
Calculated XRD peak list, Cu Kα X-rays. Input: a crystal structure in Alexandria, relaxed with GGA-PBE.
Kinematic intensities with the Lorentz-polarization factor, no thermal factor.

The 10 most intense peaks (10° ≤ 2θ ≤ 90°), by angle:
index	d [Å]	I_rel
1 1 0	5.889	8
2 0 -2	3.353	23
0 4 0	3.069	25
2 2 0	2.942	100
2 4 -2	2.264	16
2 0 -4	1.934	13
2 6 0	1.747	22
4 4 -2	1.639	8
2 4 -4	1.636	16
4 2 -4	1.619	12

a = 7.7569 Å, b = 12.2762 Å, c = 7.7331 Å
α = 90.00°, β = 120.06°, γ = 90.00°
Space group Cm (No. 8)
Symmetry-distinct sites (fractional):
Ac  0.0000  0.0000  0.0000 (multiplicity 2)
Ac  0.0086  0.0000  0.5273 (multiplicity 2)
Ac  0.1676  0.2498  0.3452 (multiplicity 4)
Ac  0.4880  0.0000  0.0013 (multiplicity 2)
Pm  0.1628  0.2565  0.8375 (multiplicity 4)
Mg  0.0030  0.5000  0.5156 (multiplicity 2)

What did the fifth record say?
# AcMg2ZnPd2
Calculated XRD peak list, Cu Kα X-rays. Input: a crystal structure in Alexandria, relaxed with GGA-PBE.
Kinematic intensities with the Lorentz-polarization factor, no thermal factor.

The 10 most intense peaks (10° ≤ 2θ ≤ 90°), by angle:
index	d [Å]	I_rel
1 0 1	4.671	20
1 1 0	3.650	100
1 0 3	2.985	37
0 0 4	2.744	30
2 0 0	2.581	61
1 1 4	2.193	40
2 1 3	1.952	22
2 0 4	1.880	40
2 2 0	1.825	22
3 1 0	1.632	20

a = 5.1619 Å, b = 5.1619 Å, c = 10.9763 Å
α = 90.00°, β = 90.00°, γ = 90.00°
Space group I4/mmm (No. 139)
Symmetry-distinct sites (fractional):
Ac  0.0000  0.0000  0.0000 (multiplicity 2)
Mg  0.0000  0.5000  0.2500 (multiplicity 4)
Zn  0.0000  0.0000  0.5000 (multiplicity 2)
Pd  0.0000  0.0000  0.2772 (multiplicity 4)